1.
Li2NdAgCl6: computed powder diffractogram (Cu Kα), based on a DFT-relaxed cell (GGA-PBE, Alexandria).
No peak broadening, texture or thermal motion is included.

Structural model:
```
data_Li2NdAgCl6
_cell_length_a 6.7399
_cell_length_b 6.7429
_cell_length_c 7.2289
_cell_angle_alpha 90.05
_cell_angle_beta 117.73
_cell_angle_gamma 119.95
_symmetry_space_group_name_H-M 'P 1'
_symmetry_Int_Tables_number 1
_symmetry_space_group_name_Hall 'P 1'
loop_
_atom_site_label
_atom_site_fract_x
_atom_site_fract_y
_atom_site_fract_z
Li1 0.0000 0.0000 0.0000
Li2 0.0130 0.5069 0.5190
Nd1 0.6096 0.3053 0.9144
Ag1 0.5791 0.7902 0.3693
Cl1 0.1016 0.3729 0.2198
Cl2 0.1104 0.2293 0.7212
Cl3 0.4903 0.1183 0.2197
Cl4 0.4923 0.8820 0.7206
Cl5 0.8399 0.6115 0.7213
Cl6 0.8467 0.7297 0.2198
```

Largest 12 diffraction maxima, in order of rising 2θ, 10° ≤ 2θ ≤ 80°:
- 2θ 18.0, I 100
- 2θ 24.7, I 52
- 2θ 26.4, I 19
- 2θ 30.3, I 35
- 2θ 32.2, I 36
- 2θ 36.5, I 25
- 2θ 39.9, I 49
- 2θ 42.1, I 24
- 2θ 42.5, I 14
- 2θ 45.6, I 23
- 2θ 46.7, I 31
- 2θ 63.0, I 9



2.
AcPm8Ho3: computed powder diffractogram (Cu Kα), based on a DFT-relaxed cell (GGA-PBE, Alexandria).
No peak broadening, texture or thermal motion is included.

Structural model:
```
data_AcPm8Ho3
_cell_length_a 16.1222
_cell_length_b 6.3919
_cell_length_c 11.0812
_cell_angle_alpha 90.00
_cell_angle_beta 133.32
_cell_angle_gamma 90.00
_symmetry_space_group_name_H-M 'C 1 2 1'
_symmetry_Int_Tables_number 5
_symmetry_space_group_name_Hall 'C 2y'
loop_
_atom_site_label
_atom_site_fract_x
_atom_site_fract_y
_atom_site_fract_z
Ac1 0.0000 0.0000 0.0000
Pm1 0.0000 0.5008 0.1691
Pm2 0.0001 0.9967 0.3381
Pm3 0.2461 0.3316 0.5788
Pm4 0.2458 0.3319 0.9129
Ho1 0.0000 0.5023 0.5000
Ho2 0.2473 0.8331 0.7474
```

Largest 12 diffraction maxima, in order of rising 2θ, 10° ≤ 2θ ≤ 80°:
- 2θ 27.9, I 24
- 2θ 30.5, I 25
- 2θ 31.9, I 100
- 2θ 41.8, I 16
- 2θ 49.4, I 20
- 2θ 55.1, I 21
- 2θ 59.1, I 15
- 2θ 59.2, I 8
- 2θ 60.0, I 17
- 2θ 66.6, I 4
- 2θ 70.7, I 3
- 2θ 77.1, I 5



3.
Ho2Ga2S7: computed powder diffractogram (Cu Kα), based on a DFT-relaxed cell (GGA-PBE, Alexandria).
No peak broadening, texture or thermal motion is included.

Structural model:
```
data_Ho2Ga2S7
_cell_length_a 7.9563
_cell_length_b 11.6653
_cell_length_c 6.5636
_cell_angle_alpha 90.00
_cell_angle_beta 112.47
_cell_angle_gamma 90.00
_symmetry_space_group_name_H-M 'C 1 2/m 1'
_symmetry_Int_Tables_number 12
_symmetry_space_group_name_Hall '-C 2y'
loop_
_atom_site_label
_atom_site_fract_x
_atom_site_fract_y
_atom_site_fract_z
Ho1 0.0000 0.1871 0.0000
Ga1 0.2369 0.5000 0.3586
S1 0.0000 0.5000 0.5000
S2 0.1745 0.0000 0.2611
S3 0.2288 0.1681 0.7804
```

Largest 12 diffraction maxima, in order of rising 2θ, 10° ≤ 2θ ≤ 80°:
- 2θ 14.2, I 25
- 2θ 14.6, I 38
- 2θ 21.1, I 100
- 2θ 23.0, I 45
- 2θ 23.6, I 45
- 2θ 25.9, I 48
- 2θ 28.7, I 32
- 2θ 30.2, I 37
- 2θ 32.1, I 29
- 2θ 43.2, I 30
- 2θ 44.2, I 26
- 2θ 44.9, I 30



4.
PmPr6Tm3: computed powder diffractogram (Cu Kα), based on a DFT-relaxed cell (GGA-PBE, Alexandria).
No peak broadening, texture or thermal motion is included.

Structural model:
```
data_PmPr6Tm3
_cell_length_a 9.9794
_cell_length_b 9.9794
_cell_length_c 12.1642
_cell_angle_alpha 90.00
_cell_angle_beta 90.00
_cell_angle_gamma 120.00
_symmetry_space_group_name_H-M 'R 3 2'
_symmetry_Int_Tables_number 155
_symmetry_space_group_name_Hall 'R 3 2"'
loop_
_atom_site_label
_atom_site_fract_x
_atom_site_fract_y
_atom_site_fract_z
Pm1 0.0000 0.0000 0.0000
Pr1 0.0000 0.3305 0.0000
Pr2 0.0000 0.6707 0.5000
Tm1 0.0000 0.0000 0.2531
Tm2 0.0000 0.0000 0.5000
```

Largest 12 diffraction maxima, in order of rising 2θ, 10° ≤ 2θ ≤ 80°:
- 2θ 17.8, I 9
- 2θ 28.4, I 61
- 2θ 31.0, I 100
- 2θ 31.2, I 19
- 2θ 36.1, I 12
- 2θ 40.5, I 18
- 2θ 42.5, I 20
- 2θ 48.3, I 13
- 2θ 53.6, I 21
- 2θ 55.2, I 26
- 2θ 55.4, I 12
- 2θ 64.7, I 17



5.
RbV2PbCl8: computed powder diffractogram (Cu Kα), based on a DFT-relaxed cell (GGA-PBE, Alexandria).
No peak broadening, texture or thermal motion is included.

Structural model:
```
data_RbV2PbCl8
_cell_length_a 6.7709
_cell_length_b 6.7709
_cell_length_c 9.9172
_cell_angle_alpha 90.00
_cell_angle_beta 90.00
_cell_angle_gamma 120.00
_symmetry_space_group_name_H-M 'P -3'
_symmetry_Int_Tables_number 147
_symmetry_space_group_name_Hall '-P 3'
loop_
_atom_site_label
_atom_site_fract_x
_atom_site_fract_y
_atom_site_fract_z
Rb1 0.0000 0.0000 0.0000
V1 0.3333 0.6667 0.7543
Pb1 0.0000 0.0000 0.5000
Cl1 0.0099 0.3369 0.6881
Cl2 0.3333 0.6667 0.9807
```

Largest 12 diffraction maxima, in order of rising 2θ, 10° ≤ 2θ ≤ 80°:
- 2θ 15.1, I 58
- 2θ 17.6, I 75
- 2θ 23.5, I 100
- 2θ 26.3, I 52
- 2θ 27.8, I 23
- 2θ 32.0, I 65
- 2θ 35.6, I 36
- 2θ 44.8, I 37
- 2θ 45.3, I 43
- 2θ 46.5, I 38
- 2θ 59.9, I 16
- 2θ 60.3, I 16



6.
Sm6Mg23: computed powder diffractogram (Cu Kα), based on a DFT-relaxed cell (GGA-PBE, Alexandria).
No peak broadening, texture or thermal motion is included.

Structural model:
```
data_Sm6Mg23
_cell_length_a 14.3557
_cell_length_b 14.3557
_cell_length_c 14.3557
_cell_angle_alpha 90.00
_cell_angle_beta 90.00
_cell_angle_gamma 90.00
_symmetry_space_group_name_H-M 'F m -3 m'
_symmetry_Int_Tables_number 225
_symmetry_space_group_name_Hall '-F 4 2 3'
loop_
_atom_site_label
_atom_site_fract_x
_atom_site_fract_y
_atom_site_fract_z
Sm1 0.0000 0.0000 0.1974
Mg1 0.0000 0.0000 0.5000
Mg2 0.0000 0.2500 0.2500
Mg3 0.1205 0.1205 0.3795
Mg4 0.1694 0.1694 0.1694
```

Largest 12 diffraction maxima, in order of rising 2θ, 10° ≤ 2θ ≤ 80°:
- 2θ 10.7, I 29
- 2θ 21.4, I 46
- 2θ 24.8, I 24
- 2θ 27.1, I 39
- 2θ 30.5, I 38
- 2θ 32.4, I 100
- 2θ 35.4, I 48
- 2θ 37.6, I 22
- 2θ 45.1, I 24
- 2θ 48.7, I 21
- 2θ 52.2, I 21
- 2θ 54.2, I 33



7.
PaZn2Au: computed powder diffractogram (Cu Kα), based on a DFT-relaxed cell (GGA-PBE, Alexandria).
No peak broadening, texture or thermal motion is included.

Structural model:
```
data_PaZn2Au
_cell_length_a 6.6442
_cell_length_b 4.4314
_cell_length_c 10.4520
_cell_angle_alpha 90.00
_cell_angle_beta 90.00
_cell_angle_gamma 90.00
_symmetry_space_group_name_H-M 'A m m 2'
_symmetry_Int_Tables_number 38
_symmetry_space_group_name_Hall 'A 2 -2'
loop_
_atom_site_label
_atom_site_fract_x
_atom_site_fract_y
_atom_site_fract_z
Pa1 0.0000 0.0000 0.0000
Pa2 0.5000 0.0000 0.1767
Zn1 0.0000 0.0000 0.3008
Zn2 0.3087 0.0000 0.4610
Zn3 0.5000 0.0000 0.8919
Au1 0.2067 0.0000 0.7077
```

Largest 12 diffraction maxima, in order of rising 2θ, 10° ≤ 2θ ≤ 80°:
- 2θ 17.0, I 16
- 2θ 25.6, I 17
- 2θ 34.3, I 25
- 2θ 34.8, I 100
- 2θ 35.5, I 72
- 2θ 37.0, I 17
- 2θ 40.7, I 37
- 2θ 42.8, I 22
- 2θ 44.4, I 28
- 2θ 54.3, I 21
- 2θ 56.0, I 19
- 2θ 61.8, I 19



8.
Tb4Sm2Hg3O2: computed powder diffractogram (Cu Kα), based on a DFT-relaxed cell (GGA-PBE, Alexandria).
No peak broadening, texture or thermal motion is included.

Structural model:
```
data_Tb4Sm2Hg3O2
_cell_length_a 4.7847
_cell_length_b 4.7847
_cell_length_c 23.5440
_cell_angle_alpha 90.00
_cell_angle_beta 90.00
_cell_angle_gamma 90.00
_symmetry_space_group_name_H-M 'I 4/m m m'
_symmetry_Int_Tables_number 139
_symmetry_space_group_name_Hall '-I 4 2'
loop_
_atom_site_label
_atom_site_fract_x
_atom_site_fract_y
_atom_site_fract_z
Tb1 0.0000 0.5000 0.0842
Sm1 0.0000 0.0000 0.2009
Hg1 0.0000 0.0000 0.3295
Hg2 0.0000 0.0000 0.5000
O1 0.0000 0.0000 0.0995
```

Largest 12 diffraction maxima, in order of rising 2θ, 10° ≤ 2θ ≤ 80°:
- 2θ 18.9, I 20
- 2θ 27.4, I 36
- 2θ 30.5, I 16
- 2θ 32.5, I 27
- 2θ 35.0, I 100
- 2θ 37.6, I 61
- 2θ 49.1, I 8
- 2θ 50.6, I 16
- 2θ 54.2, I 26
- 2θ 54.7, I 10
- 2θ 61.1, I 12
- 2θ 66.2, I 32